Structure and calculated PXRD pattern of VZn2N3 (a crystal structure in the Materials Project, relaxed with PBE; Cu Kα, 1.54184 Å).

Peak list (12 most intense, 2θ = 5–70°, in order of falling intensity)
| Position (°2θ) | Rel. int. |
| --- | --- |
| 36.54 | 100 |
| 33.88 | 58 |
| 36.23 | 56 |
| 32.23 | 49 |
| 62.36 | 31 |
| 57.03 | 31 |
| 68.01 | 27 |
| 47.46 | 22 |
| 31.88 | 22 |
| 62.15 | 17 |
| 57.69 | 15 |
| 68.61 | 13 |

Crystal structure
```
data_VZn2N3
_cell_length_a 9.5882
_cell_length_b 5.6138
_cell_length_c 5.2917
_cell_angle_alpha 90.00
_cell_angle_beta 90.00
_cell_angle_gamma 90.00
_space_group_name_H-M_alt 'C m c 21'
_space_group_IT_number 36
loop_
_space_group_symop_operation_xyz
'x,y,z'
'-x,-y,z+1/2'
'-x,y,z'
'x,-y,z+1/2'
'x+1/2,y+1/2,z'
'-x+1/2,-y+1/2,z+1/2'
'-x+1/2,y+1/2,z'
'x+1/2,-y+1/2,z+1/2'
loop_
_atom_site_label
_atom_site_fract_x
_atom_site_fract_y
_atom_site_fract_z
_atom_site_occupancy
V1 0.0000 0.1620 0.0000 1
Zn1 0.1665 0.3356 0.5118 1
N1 0.0000 0.1448 0.3554 1
N2 0.1522 0.3193 0.8982 1
```